# 1
Diffraction record for Li4CdSiPt2. The powder diffraction line list is computed, not measured: it uses a crystal structure in OQMD, relaxed with GGA-PBE and CuKα.
Lines closer than 0.1° are merged.

Peak list (10 most intense, 2θ = 10–90°, low angle first)
2θ 25.25, rel. 100.0
2θ 29.66, rel. 13.0
2θ 32.97, rel. 13.7
2θ 35.47, rel. 14.7
2θ 41.51, rel. 43.6
2θ 42.44, rel. 26.2
2θ 48.38, rel. 8.8
2θ 50.03, rel. 31.8
2θ 77.01, rel. 14.2
2θ 83.20, rel. 13.2

Structural model:
```
Li4CdSiPt2
1.0
4.260 0.000 0.000
0.000 4.260 0.000
0.000 0.000 6.292
Li Cd Si Pt
4 1 1 2
Cartesian
0.000 0.000 0.000 Li
0.000 2.130 4.619 Li
2.130 0.000 1.673 Li
2.130 2.130 3.146 Li
2.130 2.130 0.000 Cd
0.000 0.000 3.146 Si
0.000 2.130 1.865 Pt
2.130 0.000 4.427 Pt
```

---

# 2
Diffraction record for Li4CdSn2Pt. The powder diffraction line list is computed, not measured: it uses a crystal structure in OQMD, relaxed with GGA-PBE and CuKα.
Lines closer than 0.1° are merged.

Peak list (10 most intense, 2θ = 10–90°, low angle first)
2θ 13.34, rel. 7.9
2θ 23.63, rel. 100.0
2θ 38.89, rel. 61.8
2θ 39.42, rel. 30.8
2θ 45.55, rel. 16.7
2θ 46.48, rel. 33.5
2θ 56.98, rel. 10.6
2θ 61.79, rel. 13.6
2θ 70.07, rel. 10.0
2θ 71.14, rel. 21.3

Structural model:
```
Li4CdSn2Pt
1.0
4.571 0.000 0.000
0.000 4.571 0.000
0.000 0.000 6.638
Li Cd Sn Pt
4 1 2 1
Cartesian
0.000 0.000 0.000 Li
0.000 2.286 1.512 Li
2.286 0.000 5.125 Li
2.286 2.286 3.319 Li
0.000 0.000 3.319 Cd
0.000 2.286 5.128 Sn
2.286 0.000 1.510 Sn
2.286 2.286 0.000 Pt
```

---

# 3
Diffraction record for Li8CdSn2. The powder diffraction line list is computed, not measured: it uses a crystal structure in OQMD, relaxed with GGA-PBE and CuKα.
Lines closer than 0.1° are merged.

Peak list (10 most intense, 2θ = 10–90°, low angle first)
2θ 23.08, rel. 100.0
2θ 25.19, rel. 32.2
2θ 26.04, rel. 29.3
2θ 30.28, rel. 31.4
2θ 39.20, rel. 45.1
2θ 39.35, rel. 43.0
2θ 45.98, rel. 16.3
2θ 47.67, rel. 34.6
2θ 56.75, rel. 14.9
2θ 71.11, rel. 23.2

Structural model:
```
Li8CdSn2
1.0
2.298 1.327 10.266
-2.298 1.327 10.266
0.000 -2.653 10.266
Li Cd Sn
8 1 2
Cartesian
0.000 0.000 2.775 Li
0.000 0.000 5.463 Li
0.000 0.000 8.193 Li
0.000 0.000 11.135 Li
0.000 0.000 19.661 Li
0.000 0.000 22.603 Li
0.000 0.000 25.334 Li
0.000 0.000 28.022 Li
0.000 0.000 0.000 Cd
0.000 0.000 13.902 Sn
0.000 0.000 16.894 Sn
```

---

# 4
Diffraction record for Sr3LiTl2Cd2. The powder diffraction line list is computed, not measured: it uses a crystal structure in OQMD, relaxed with GGA-PBE and CuKα.
Lines closer than 0.1° are merged.

Peak list (10 most intense, 2θ = 10–90°, low angle first)
2θ 15.78, rel. 21.2
2θ 22.32, rel. 12.7
2θ 22.49, rel. 25.0
2θ 31.86, rel. 100.0
2θ 32.00, rel. 98.9
2θ 45.90, rel. 24.1
2θ 56.66, rel. 12.9
2θ 56.89, rel. 38.1
2θ 56.99, rel. 12.6
2θ 76.02, rel. 13.5

Structural model:
```
Sr3LiTl2Cd2
1.0
5.598 -3.958 0.000
5.598 3.958 0.000
-5.551 0.000 5.621
Sr Li Tl Cd
3 1 2 2
Cartesian
0.000 0.000 0.000 Sr
-2.776 0.000 2.811 Sr
5.598 0.000 0.000 Sr
2.823 0.000 2.811 Li
2.799 1.979 0.000 Tl
2.799 -1.979 0.000 Tl
0.024 1.979 2.811 Cd
0.024 -1.979 2.811 Cd
```

---

# 5
Diffraction record for SrLi3Tl2Cd2. The powder diffraction line list is computed, not measured: it uses a crystal structure in OQMD, relaxed with GGA-PBE and CuKα.
Lines closer than 0.1° are merged.

Peak list (10 most intense, 2θ = 10–90°, low angle first)
2θ 17.42, rel. 20.5
2θ 24.19, rel. 42.5
2θ 24.38, rel. 41.8
2θ 24.64, rel. 40.7
2θ 34.61, rel. 100.0
2θ 34.81, rel. 65.7
2θ 35.26, rel. 31.7
2θ 42.68, rel. 19.2
2θ 61.88, rel. 24.6
2θ 62.28, rel. 24.1

Structural model:
```
SrLi3Tl2Cd2
1.0
5.091 -3.679 0.000
5.091 3.679 0.000
-5.036 0.000 5.183
Sr Li Tl Cd
1 3 2 2
Cartesian
0.000 0.000 0.000 Sr
-2.518 0.000 2.591 Li
5.091 0.000 0.000 Li
2.573 0.000 2.591 Li
0.028 1.839 2.591 Tl
0.028 -1.839 2.591 Tl
2.545 1.839 0.000 Cd
2.545 -1.839 0.000 Cd
```

---

# 6
Diffraction record for SrLiTlCd. The powder diffraction line list is computed, not measured: it uses a crystal structure in OQMD, relaxed with GGA-PBE and CuKα.
Lines closer than 0.1° are merged.

Peak list (10 most intense, 2θ = 10–90°, low angle first)
2θ 22.63, rel. 37.1
2θ 23.51, rel. 33.8
2θ 23.70, rel. 33.2
2θ 32.86, rel. 100.0
2θ 33.00, rel. 98.9
2θ 33.63, rel. 94.0
2θ 40.92, rel. 32.3
2θ 58.36, rel. 38.3
2θ 59.57, rel. 36.0
2θ 59.83, rel. 35.5

Structural model:
```
SrLiTlCd
1.0
-3.783 3.929 3.754
3.783 -3.929 3.754
3.783 3.929 -3.754
Sr Li Tl Cd
2 2 2 2
Cartesian
0.000 0.000 0.000 Sr
0.000 3.929 0.000 Sr
3.783 0.000 0.000 Li
0.000 0.000 3.754 Li
-1.891 1.965 1.878 Tl
1.891 1.964 1.878 Tl
1.892 1.965 -1.877 Cd
1.892 -1.965 1.877 Cd
```

---

# 7
Diffraction record for Li4ZnCd3. The powder diffraction line list is computed, not measured: it uses a crystal structure in OQMD, relaxed with GGA-PBE and CuKα.
Lines closer than 0.1° are merged.

Peak list (10 most intense, 2θ = 10–90°, low angle first)
2θ 23.98, rel. 100.0
2θ 39.61, rel. 62.6
2θ 39.74, rel. 31.8
2θ 46.71, rel. 15.3
2θ 46.95, rel. 32.0
2θ 57.46, rel. 10.3
2θ 62.96, rel. 11.9
2θ 71.77, rel. 9.3
2θ 72.05, rel. 19.9
2θ 77.26, rel. 6.9

Structural model:
```
Li4ZnCd3
1.0
4.536 0.000 0.000
0.000 4.536 0.000
0.000 0.000 6.457
Li Zn Cd
4 1 3
Cartesian
0.000 0.000 0.000 Li
0.000 2.268 4.770 Li
2.268 0.000 1.687 Li
2.268 2.268 3.229 Li
0.000 0.000 3.229 Zn
0.000 2.268 1.728 Cd
2.268 0.000 4.729 Cd
2.268 2.268 0.000 Cd
```

---

# 8
Diffraction record for LuTlCdSe3. The powder diffraction line list is computed, not measured: it uses a crystal structure in OQMD, relaxed with GGA-PBE and CuKα.
Lines closer than 0.1° are merged.

Peak list (10 most intense, 2θ = 10–90°, low angle first)
2θ 20.22, rel. 32.5
2θ 29.33, rel. 100.0
2θ 32.57, rel. 92.4
2θ 33.07, rel. 20.8
2θ 37.50, rel. 25.8
2θ 40.57, rel. 28.2
2θ 41.15, rel. 25.8
2θ 43.30, rel. 27.0
2θ 50.49, rel. 27.2
2θ 55.22, rel. 32.6

Structural model:
```
LuTlCdSe3
1.0
11.006 0.000 0.000
0.000 4.179 0.000
0.000 0.000 14.585
Lu Tl Cd Se
4 4 4 12
Cartesian
0.102 1.045 3.606 Lu
5.401 3.134 10.898 Lu
5.606 1.045 3.687 Lu
10.904 3.134 10.980 Lu
2.630 3.134 7.266 Tl
2.874 1.045 14.559 Tl
8.133 3.134 0.026 Tl
8.377 1.045 7.319 Tl
2.663 1.045 10.286 Cd
2.840 3.134 2.993 Cd
8.167 1.045 11.592 Cd
8.343 3.134 4.300 Cd
0.352 1.045 9.075 Se
0.573 3.134 1.713 Se
2.651 3.134 11.973 Se
2.852 1.045 4.680 Se
4.930 1.045 9.006 Se
5.151 3.134 1.783 Se
5.856 1.045 12.803 Se
6.076 3.134 5.579 Se
8.154 3.134 9.905 Se
8.355 1.045 2.612 Se
10.433 1.045 12.872 Se
10.654 3.134 5.510 Se
```